1.
Computed powder XRD pattern of SmEuAg4 for Cu Kα X-rays, from the GGA-PBE geometry in Alexandria.
Lines closer than 0.1° are merged.

Most intense lines, 2θ = 10–80°, in order of rising 2θ:
| 2θ/deg | Rel. int. |
| --- | --- |
| 30.83 | 37 |
| 36.33 | 100 |
| 38.00 | 31 |
| 54.83 | 14 |
| 58.47 | 32 |
| 64.24 | 26 |
| 76.09 | 11 |
| 77.13 | 11 |

Crystal structure
a = 5.8000 Å, b = 5.8000 Å, c = 5.8000 Å
α = 60.00°, β = 60.00°, γ = 60.00°
Sites, in units of the cell vectors:
Sm1 0.0000 0.0000 0.0000
Eu1 0.7500 0.7500 0.7500
Ag1 0.3750 0.3750 0.3750
Ag2 0.3750 0.3750 0.8749
Ag3 0.3750 0.8749 0.3750
Ag4 0.8749 0.3750 0.3750


2.
Computed powder XRD pattern of GaWBr2 for Cu Kα X-rays, from the GGA-PBE geometry in Alexandria.
Lines closer than 0.1° are merged.

Most intense lines, 2θ = 10–80°, in order of rising 2θ:
| 2θ/deg | Rel. int. |
| --- | --- |
| 16.27 | 56 |
| 32.52 | 98 |
| 34.93 | 69 |
| 39.06 | 100 |
| 42.58 | 87 |
| 48.73 | 25 |
| 57.11 | 42 |
| 79.49 | 31 |

Crystal structure
a = 11.0514 Å, b = 11.0514 Å, c = 11.0514 Å
α = 16.78°, β = 16.78°, γ = 16.78°
Sites, in units of the cell vectors:
Ga1 0.0000 0.0000 0.0000
W1 0.5000 0.5000 0.5000
Br1 0.1094 0.1094 0.1094
Br2 0.8906 0.8906 0.8906


3.
Computed powder XRD pattern of AgRu2Br for Cu Kα X-rays, from the GGA-PBE geometry in Alexandria.
Lines closer than 0.1° are merged.

Most intense lines, 2θ = 10–80°, in order of rising 2θ:
| 2θ/deg | Rel. int. |
| --- | --- |
| 10.63 | 41 |
| 30.23 | 21 |
| 32.24 | 22 |
| 37.18 | 100 |
| 37.41 | 16 |
| 43.16 | 24 |
| 44.57 | 41 |
| 44.68 | 31 |

Crystal structure
a = 2.9562 Å, b = 2.9727 Å, c = 8.3216 Å
α = 90.00°, β = 90.29°, γ = 90.00°
Sites, in units of the cell vectors:
Ag1 0.0000 0.0000 0.0000
Ru1 0.0062 0.0000 0.4227
Ru2 0.5038 0.5000 0.2431
Br1 0.0104 0.5000 0.6760


4.
Computed powder XRD pattern of ZnBiCl3 for Cu Kα X-rays, from the GGA-PBE geometry in Alexandria.
Lines closer than 0.1° are merged.

Most intense lines, 2θ = 10–80°, in order of rising 2θ:
| 2θ/deg | Rel. int. |
| --- | --- |
| 16.21 | 58 |
| 23.00 | 100 |
| 32.76 | 54 |
| 36.75 | 31 |
| 40.41 | 49 |
| 47.00 | 38 |
| 52.95 | 23 |
| 63.68 | 26 |

Crystal structure
a = 5.4680 Å, b = 5.4680 Å, c = 5.4680 Å
α = 90.00°, β = 90.00°, γ = 90.00°
Sites, in units of the cell vectors:
Zn1 0.0000 0.0000 0.0000
Bi1 0.5000 0.5000 0.5000
Cl1 0.0000 0.5000 0.5000
Cl2 0.5000 0.0000 0.5000
Cl3 0.5000 0.5000 0.0000


5.
Computed powder XRD pattern of CaGaBi2O8 for Cu Kα X-rays, from the GGA-PBE geometry in Alexandria.
Lines closer than 0.1° are merged.

Most intense lines, 2θ = 10–80°, in order of rising 2θ:
| 2θ/deg | Rel. int. |
| --- | --- |
| 17.92 | 73 |
| 24.61 | 63 |
| 26.26 | 54 |
| 32.07 | 100 |
| 36.33 | 55 |
| 48.26 | 44 |
| 50.13 | 39 |
| 62.65 | 24 |

Crystal structure
a = 4.9606 Å, b = 4.9606 Å, c = 6.7587 Å
α = 90.00°, β = 90.00°, γ = 93.65°
Sites, in units of the cell vectors:
Ca1 0.0000 0.0000 0.0000
Ga1 0.0000 0.0000 0.5000
Bi1 0.5000 0.5000 0.2546
Bi2 0.5000 0.5000 0.7454
O1 0.1910 0.1910 0.2799
O2 0.1910 0.1910 0.7201
O3 0.2954 0.7046 0.5000
O4 0.3172 0.6828 0.0000
O5 0.6828 0.3172 0.0000
O6 0.7046 0.2954 0.5000
O7 0.8090 0.8090 0.2799
O8 0.8090 0.8090 0.7201


6.
Computed powder XRD pattern of TiGaTcRh for Cu Kα X-rays, from the GGA-PBE geometry in Alexandria.
Lines closer than 0.1° are merged.

Most intense lines, 2θ = 10–80°, in order of rising 2θ:
| 2θ/deg | Rel. int. |
| --- | --- |
| 29.50 | 9 |
| 41.36 | 100 |
| 41.67 | 24 |
| 42.73 | 23 |
| 58.63 | 9 |
| 61.21 | 15 |
| 75.85 | 16 |
| 77.31 | 15 |

Crystal structure
a = 3.1489 Å, b = 4.2325 Å, c = 4.3348 Å
α = 90.00°, β = 90.00°, γ = 90.00°
Sites, in units of the cell vectors:
Ti1 0.0000 0.0000 0.0000
Ga1 0.0000 0.5000 0.5000
Tc1 0.5000 0.5000 0.0000
Rh1 0.5000 0.0000 0.5000


7.
Computed powder XRD pattern of Ho12Tm5Mg2 for Cu Kα X-rays, from the GGA-PBE geometry in Alexandria.
Lines closer than 0.1° are merged.

Most intense lines, 2θ = 10–80°, in order of rising 2θ:
| 2θ/deg | Rel. int. |
| --- | --- |
| 29.34 | 65 |
| 30.22 | 31 |
| 31.50 | 75 |
| 32.10 | 100 |
| 32.25 | 55 |
| 34.54 | 56 |
| 56.97 | 30 |
| 61.64 | 23 |

Crystal structure
a = 9.0470 Å, b = 9.0470 Å, c = 8.2564 Å
α = 90.08°, β = 90.08°, γ = 59.67°
Sites, in units of the cell vectors:
Ho1 0.0571 0.0571 0.3339
Ho2 0.0711 0.6803 0.3354
Ho3 0.1588 0.5308 0.7552
Ho4 0.3197 0.9289 0.6646
Ho5 0.4084 0.4084 0.1041
Ho6 0.4692 0.8412 0.2448
Ho7 0.5308 0.1588 0.7552
Ho8 0.5916 0.5916 0.8959
Ho9 0.6803 0.0711 0.3354
Ho10 0.8412 0.4692 0.2448
Ho11 0.9289 0.3197 0.6646
Ho12 0.9429 0.9429 0.6661
Tm1 0.1977 0.1977 0.0055
Tm2 0.2639 0.2639 0.4197
Tm3 0.5000 0.5000 0.5000
Tm4 0.7361 0.7361 0.5803
Tm5 0.8023 0.8023 0.9945
Mg1 0.1740 0.8260 0.0000
Mg2 0.8260 0.1740 0.0000


8.
Computed powder XRD pattern of LiYBeZn for Cu Kα X-rays, from the GGA-PBE geometry in Alexandria.
Lines closer than 0.1° are merged.

Most intense lines, 2θ = 10–80°, in order of rising 2θ:
| 2θ/deg | Rel. int. |
| --- | --- |
| 24.15 | 3 |
| 27.96 | 100 |
| 39.95 | 100 |
| 47.23 | 1 |
| 49.47 | 27 |
| 57.78 | 16 |
| 65.39 | 33 |
| 72.56 | 32 |

Crystal structure
a = 4.5132 Å, b = 4.5132 Å, c = 4.5132 Å
α = 60.00°, β = 60.00°, γ = 60.00°
Sites, in units of the cell vectors:
Li1 0.0000 0.0000 0.0000
Y1 0.2500 0.2500 0.2500
Be1 0.5000 0.5000 0.5000
Zn1 0.7500 0.7500 0.7500